No. 1
AcCuTcO6: theoretical powder XRD pattern (Cu Kα), based on a structure optimized by DFT (PBE).
Neutral-atom scattering factors, no anomalous dispersion.

```
data_AcCuTcO6
_chemical_formula_sum 'Ac2 Cu2 Tc2 O12'
_cell_length_a 5.5405
_cell_length_b 8.7778
_cell_length_c 5.2389
_cell_angle_alpha 90.00
_cell_angle_beta 95.54
_cell_angle_gamma 90.00
_symmetry_space_group_name_H-M 'C 1 2 1'
_symmetry_Int_Tables_number 5
_symmetry_space_group_name_Hall 'C 2y'
loop_
_atom_site_label
_atom_site_type_symbol
_atom_site_fract_x
_atom_site_fract_y
_atom_site_fract_z
Ac1 Ac 0.0000 0.0000 0.0000
Cu1 Cu 0.0000 0.6996 0.5000
Tc1 Tc 0.0000 0.3563 0.5000
O1 O 0.1239 0.5374 0.7050
O2 O 0.1539 0.2411 0.7538
O3 O 0.2008 0.8545 0.6709
```

Principal peaks in the range 10° ≤ 2θ ≤ 90°, low angle first:
| two_theta | I/Imax | h k l |
| --- | --- | --- |
| 19.01 | 26 | 1 1 0 |
| 24.53 | 100 | 1 1 -1 |
| 26.55 | 77 | 0 2 1 |
| 26.65 | 78 | 1 1 1 |
| 32.47 | 31 | 2 0 0 |
| 34.40 | 21 | 0 0 2 |
| 34.71 | 49 | 1 3 0 |
| 41.04 | 31 | 2 2 -1 |
| 48.46 | 23 | 1 3 -2 |
| 50.86 | 27 | 1 3 2 |

=====

No. 2
Ac3TiCu2O9: theoretical powder XRD pattern (Cu Kα), based on a structure optimized by DFT (PBE).
Neutral-atom scattering factors, no anomalous dispersion.

```
data_Ac3TiCu2O9
_chemical_formula_sum 'Ac3 Ti1 Cu2 O9'
_cell_length_a 5.6214
_cell_length_b 5.6214
_cell_length_c 6.9044
_cell_angle_alpha 90.00
_cell_angle_beta 90.00
_cell_angle_gamma 120.00
_symmetry_space_group_name_H-M 'P -3 m 1'
_symmetry_Int_Tables_number 164
_symmetry_space_group_name_Hall '-P 3 2"'
loop_
_atom_site_label
_atom_site_type_symbol
_atom_site_fract_x
_atom_site_fract_y
_atom_site_fract_z
Ac1 Ac 0.0000 0.0000 0.0000
Ac2 Ac 0.3333 0.6667 0.6774
Ti1 Ti 0.0000 0.0000 0.5000
Cu1 Cu 0.3333 0.6667 0.1658
O1 O 0.0000 0.5000 0.0000
O2 O 0.1633 0.3266 0.3363
```

Principal peaks in the range 10° ≤ 2θ ≤ 90°, low angle first:
| two_theta | I/Imax | h k l |
| --- | --- | --- |
| 22.34 | 32 | 1 0 1 |
| 31.81 | 100 | 1 1 0 |
| 39.24 | 17 | 0 2 1 |
| 45.60 | 28 | 2 0 2 |
| 51.35 | 16 | 2 1 1 |
| 56.57 | 10 | 1 0 4 |
| 56.70 | 30 | 3 0 0 |
| 66.39 | 9 | 0 2 4 |
| 66.54 | 9 | 2 2 0 |
| 75.63 | 9 | 3 1 2 |

=====

No. 3
AcTiCuO5: theoretical powder XRD pattern (Cu Kα), based on a structure optimized by DFT (PBE).
Neutral-atom scattering factors, no anomalous dispersion.

```
data_AcTiCuO5
_chemical_formula_sum 'Ac4 Ti4 Cu4 O20'
_cell_length_a 6.2858
_cell_length_b 9.5649
_cell_length_c 7.3140
_cell_angle_alpha 90.00
_cell_angle_beta 107.48
_cell_angle_gamma 90.00
_symmetry_space_group_name_H-M 'C 1 2/c 1'
_symmetry_Int_Tables_number 15
_symmetry_space_group_name_Hall '-C 2yc'
loop_
_atom_site_label
_atom_site_type_symbol
_atom_site_fract_x
_atom_site_fract_y
_atom_site_fract_z
Ac1 Ac 0.0000 0.1705 0.2500
Ti1 Ti 0.0000 0.5000 0.0000
Cu1 Cu 0.0000 0.1729 0.7500
O1 O 0.0000 0.4380 0.2500
O2 O 0.0714 0.3020 0.5826
O3 O 0.1750 0.0457 0.9385
```

Principal peaks in the range 10° ≤ 2θ ≤ 90°, low angle first:
| two_theta | I/Imax | h k l |
| --- | --- | --- |
| 18.81 | 41 | 1 1 -1 |
| 22.54 | 24 | 0 2 1 |
| 25.54 | 30 | 0 0 2 |
| 27.08 | 40 | 1 1 -2 |
| 29.80 | 56 | 2 0 0 |
| 31.78 | 100 | 1 3 0 |
| 33.04 | 22 | 2 0 -2 |
| 38.15 | 41 | 1 3 -2 |
| 44.10 | 22 | 1 3 2 |
| 54.16 | 20 | 3 3 0 |